Entry 1:
Computed powder X-ray diffraction pattern of YMnO3 for CuKα, from a PBE+U-relaxed structure.

The 8 most intense peaks (2θ = 10–80°), by angle:
22.97°, rel. 2
32.71°, rel. 100
40.34°, rel. 15
46.93°, rel. 38
52.87°, rel. 1
58.37°, rel. 37
68.54°, rel. 21
78.04°, rel. 15

Crystal structure
a b c (Å): 3.8723 3.8723 3.8723
angles (deg): 90.00 90.00 90.00
Fractional coordinates of all 5 atoms:
Y1 0.0000 0.0000 0.0000
Mn1 0.5000 0.5000 0.5000
O1 0.0000 0.5000 0.5000
O2 0.5000 0.0000 0.5000
O3 0.5000 0.5000 0.0000

---

Entry 2:
Computed powder X-ray diffraction pattern of MnPb2WO6 for CuKα, from a PBE+U-relaxed structure.

The 8 most intense peaks (2θ = 10–80°), by angle:
18.51°, rel. 18
30.22°, rel. 47
30.58°, rel. 100
43.26°, rel. 22
44.31°, rel. 15
53.84°, rel. 14
53.95°, rel. 14
63.66°, rel. 13

Crystal structure
a b c (Å): 11.8483 5.9071 8.1756
angles (deg): 90.00 90.00 90.00
Fractional coordinates of all 40 atoms:
Mn1 0.1177 0.2409 0.0000
Mn2 0.3823 0.7409 0.5000
Mn3 0.6177 0.2591 0.0000
Mn4 0.8823 0.7591 0.5000
Pb1 0.1450 0.7035 0.7450
Pb2 0.1483 0.7074 0.2565
Pb3 0.3517 0.2074 0.7565
Pb4 0.3550 0.2035 0.2450
Pb5 0.6450 0.7965 0.7450
Pb6 0.6483 0.7926 0.2565
Pb7 0.8517 0.2926 0.7565
Pb8 0.8550 0.2965 0.2450
W1 0.1183 0.2489 0.4977
W2 0.3817 0.7489 0.9977
W3 0.6183 0.2511 0.4977
W4 0.8817 0.7511 0.9977
O1 0.0031 0.4782 0.5021
O2 0.0174 0.0084 0.4923
O3 0.1388 0.2693 0.7362
O4 0.1391 0.2893 0.2610
O5 0.2305 0.5339 0.5037
O6 0.2463 0.5547 0.9921
O7 0.2537 0.0547 0.4921
O8 0.2695 0.0339 0.0037
O9 0.3612 0.7693 0.2362
O10 0.3609 0.7893 0.7610
O11 0.4826 0.5084 0.9923
O12 0.4969 0.9782 0.0021
O13 0.5031 0.0218 0.5021
O14 0.5174 0.4916 0.4923
O15 0.6391 0.2107 0.2610
O16 0.6388 0.2307 0.7362
O17 0.7305 0.9661 0.5037
O18 0.7463 0.9453 0.9921
O19 0.7537 0.4453 0.4921
O20 0.7695 0.4661 0.0037
O21 0.8609 0.7107 0.7610
O22 0.8612 0.7307 0.2362
O23 0.9826 0.9916 0.9923
O24 0.9969 0.5218 0.0021

---

Entry 3:
Computed powder X-ray diffraction pattern of Mn12O7F17 for CuKα, from a PBE+U-relaxed structure.

The 8 most intense peaks (2θ = 10–80°), by angle:
23.46°, rel. 95
24.69°, rel. 86
28.69°, rel. 100
29.29°, rel. 96
29.94°, rel. 89
30.09°, rel. 91
51.19°, rel. 47
51.75°, rel. 44

Crystal structure
a b c (Å): 4.8054 5.8013 15.8422
angles (deg): 88.81 89.36 87.03
Fractional coordinates of all 36 atoms:
Mn1 0.0000 0.0000 0.0000
Mn2 0.9998 0.0196 0.6668
Mn3 0.0265 0.6965 0.5090
Mn4 0.4926 0.5096 0.6669
Mn5 0.4943 0.2167 0.1666
Mn6 0.5112 0.5201 0.3231
Mn7 0.5234 0.2004 0.4868
Mn8 0.5322 0.1844 0.8328
Mn9 0.5502 0.5563 0.0065
Mn10 0.9859 0.6975 0.1736
Mn11 0.9889 0.0114 0.3322
Mn12 0.9930 0.7099 0.8358
O1 0.2036 0.7463 0.2773
O2 0.2222 0.7474 0.6201
O3 0.7007 0.4869 0.2170
O4 0.7201 0.2448 0.7176
O5 0.7328 0.2514 0.3762
O6 0.7945 0.9539 0.8930
O7 0.8057 0.7691 0.0615
F1 0.2227 0.9783 0.4440
F2 0.2246 0.9766 0.7743
F3 0.2317 0.9827 0.1078
F4 0.2378 0.2408 0.2748
F5 0.2545 0.7303 0.9346
F6 0.2594 0.4784 0.1035
F7 0.2618 0.2567 0.6013
F8 0.2618 0.4752 0.7812
F9 0.2716 0.2125 0.9420
F10 0.2896 0.4892 0.4335
F11 0.7211 0.4781 0.5561
F12 0.7428 0.4640 0.8890
F13 0.7442 0.2558 0.0557
F14 0.7482 0.9771 0.2274
F15 0.7524 0.7443 0.7280
F16 0.7697 0.7591 0.3992
F17 0.7741 0.9791 0.5612

---

Entry 4:
Computed powder X-ray diffraction pattern of BaMgMoF7 for CuKα, from a PBE+U-relaxed structure.

The 8 most intense peaks (2θ = 10–80°), by angle:
24.72°, rel. 100
25.82°, rel. 51
28.35°, rel. 27
31.17°, rel. 19
37.90°, rel. 19
39.84°, rel. 37
51.41°, rel. 21
52.66°, rel. 20

Crystal structure
a b c (Å): 5.7453 10.2249 9.9377
angles (deg): 90.00 92.82 90.00
Fractional coordinates of all 40 atoms:
Ba1 0.2320 0.1722 0.0034
Ba2 0.2320 0.3278 0.5034
Ba3 0.7680 0.6722 0.4966
Ba4 0.7680 0.8278 0.9966
Mg1 0.1887 0.6074 0.8099
Mg2 0.1887 0.8926 0.3099
Mg3 0.8113 0.1074 0.6901
Mg4 0.8113 0.3926 0.1901
Mo1 0.3066 0.6113 0.1852
Mo2 0.3066 0.8887 0.6852
Mo3 0.6934 0.1113 0.3148
Mo4 0.6934 0.3887 0.8148
F1 0.0147 0.7176 0.2500
F2 0.0147 0.7824 0.7500
F3 0.1050 0.5412 0.6312
F4 0.1050 0.9588 0.1312
F5 0.1244 0.0590 0.6257
F6 0.1244 0.4410 0.1257
F7 0.2391 0.6958 0.9921
F8 0.2391 0.8042 0.4921
F9 0.3684 0.0466 0.3760
F10 0.3684 0.4534 0.8760
F11 0.3954 0.5411 0.3760
F12 0.3954 0.9589 0.8760
F13 0.4729 0.7132 0.7496
F14 0.4729 0.7868 0.2496
F15 0.5271 0.2132 0.7504
F16 0.5271 0.2868 0.2504
F17 0.6046 0.0411 0.1240
F18 0.6046 0.4589 0.6240
F19 0.6316 0.5466 0.1240
F20 0.6316 0.9534 0.6240
F21 0.7609 0.1958 0.5079
F22 0.7609 0.3042 0.0079
F23 0.8756 0.5590 0.8743
F24 0.8756 0.9410 0.3743
F25 0.8950 0.0412 0.8688
F26 0.8950 0.4588 0.3688
F27 0.9853 0.2176 0.2500
F28 0.9853 0.2824 0.7500

---

Entry 5:
Computed powder X-ray diffraction pattern of Ba4Nd2Cu6NiO15 for CuKα, from a PBE+U-relaxed structure.

The 8 most intense peaks (2θ = 10–80°), by angle:
32.24°, rel. 100
32.55°, rel. 95
32.69°, rel. 97
46.03°, rel. 30
46.45°, rel. 29
57.60°, rel. 38
57.87°, rel. 36
58.45°, rel. 34

Crystal structure
a b c (Å): 25.1121 25.1121 25.1121
angles (deg): 171.07 170.99 12.70
Fractional coordinates of all 28 atoms:
Ba1 0.0000 0.0000 0.0000
Ba2 0.0840 0.0840 0.0000
Ba3 0.2351 0.2351 0.0000
Ba4 0.8493 0.8493 0.0000
Nd1 0.1594 0.1594 0.0000
Nd2 0.9243 0.9243 0.0000
Cu1 0.3045 0.3045 0.0000
Cu2 0.4611 0.4611 0.0000
Cu3 0.5421 0.5421 0.0000
Cu4 0.6232 0.6232 0.0000
Cu5 0.6962 0.6962 0.0000
Cu6 0.7801 0.7801 0.0000
Ni1 0.3862 0.3862 0.0000
O1 0.0423 0.5423 0.5000
O2 0.1295 0.6295 0.5000
O3 0.1905 0.6905 0.5000
O4 0.2959 0.7959 0.5000
O5 0.3453 0.3453 0.0000
O6 0.3943 0.8943 0.5000
O7 0.4554 0.9554 0.5000
O8 0.5048 0.5048 0.0000
O9 0.5797 0.5797 0.0000
O10 0.6290 0.1290 0.5000
O11 0.6902 0.1902 0.5000
O12 0.7402 0.7402 0.0000
O13 0.7888 0.2888 0.5000
O14 0.8939 0.3939 0.5000
O15 0.9550 0.4550 0.5000

---

Entry 6:
Computed powder X-ray diffraction pattern of LiCoPO4 for CuKα, from a PBE+U-relaxed structure.

The 8 most intense peaks (2θ = 10–80°), by angle:
15.67°, rel. 61
18.43°, rel. 60
20.75°, rel. 97
22.43°, rel. 40
23.90°, rel. 47
25.51°, rel. 100
36.41°, rel. 69
37.61°, rel. 59

Crystal structure
a b c (Å): 4.7851 9.6293 6.9927
angles (deg): 90.00 92.79 90.00
Fractional coordinates of all 28 atoms:
Li1 0.2205 0.0000 0.2766
Li2 0.2787 0.0902 0.7369
Li3 0.7213 0.5902 0.2631
Li4 0.7795 0.5000 0.7234
Co1 0.2182 0.3459 0.4288
Co2 0.2593 0.7928 0.9469
Co3 0.7407 0.2928 0.0531
Co4 0.7818 0.8459 0.5712
P1 0.2184 0.6802 0.5086
P2 0.2984 0.4744 0.0123
P3 0.7016 0.9744 0.9877
P4 0.7816 0.1802 0.4914
O1 0.0263 0.9626 0.9970
O2 0.0852 0.5492 0.4135
O3 0.0860 0.6945 0.7104
O4 0.1166 0.8139 0.4013
O5 0.3996 0.6235 0.0657
O6 0.4254 0.3844 0.1867
O7 0.4305 0.4181 0.8330
O8 0.4568 0.1680 0.4819
O9 0.5432 0.6680 0.5181
O10 0.5695 0.9181 0.1670
O11 0.5746 0.8844 0.8133
O12 0.6004 0.1235 0.9343
O13 0.8834 0.3139 0.5987
O14 0.9140 0.1945 0.2896
O15 0.9148 0.0492 0.5865
O16 0.9737 0.4626 0.0030